For Li5FeO3F2, a DFT-relaxed cell (PBE+U, Alexandria) gives the computed powder X-ray diffraction pattern in this record (Cu Kα).
Intensities are scaled so that the largest is 1000.

Atomic structure:
```
11
Lattice="5.0335 -1.9387 0.0000 5.0335 1.9387 0.0000 -2.4752 0.0000 5.6247" Properties=species:S:1:pos:R:3 pbc="T T T"
Li 0.0000 0.0000 0.0000
Li -1.2651 0.0000 2.8871
Li 1.9107 0.0000 4.0628
Li 3.6342 0.0000 0.9413
Li 6.5092 0.0000 1.7783
Fe 4.7383 0.0000 4.9249
O -0.0421 0.0000 4.4803
O 5.4716 0.0000 0.1679
O 8.2532 0.0000 0.9231
F 3.7198 0.0000 2.9492
F 6.8868 0.0000 3.6265
```

Top 12 peaks for 2θ from 10° to 90°, in order of falling intensity:
2θ = 15.8°, d 5.625, rel. 1000
2θ = 24.9°, d 3.574, rel. 850
2θ = 19.4°, d 4.582, rel. 637
2θ = 44.0°, d 2.060, rel. 433
2θ = 39.3°, d 2.291, rel. 425
2θ = 46.9°, d 1.939, rel. 331
2θ = 29.6°, d 3.018, rel. 328
2θ = 40.9°, d 2.205, rel. 235
2θ = 27.4°, d 3.255, rel. 201
2θ = 62.8°, d 1.480, rel. 168
2θ = 66.2°, d 1.412, rel. 162
2θ = 35.6°, d 2.519, rel. 160